This entry pairs a crystal structure of Rb2FeO2 with its calculated XRD peak list. Radiation: a wavelength of 1.5418 Å. Structure: a crystal structure in Alexandria, relaxed with PBE+U.
No peak broadening, texture or thermal motion is included.

Structural model:
Cell: 6.8777 6.8777 7.6747 Å, 118.72 118.72 50.33°
Fractional positions:
Rb 0.0246 0.0246 0.2558
Rb 0.3249 0.3249 0.8919
Rb 0.6751 0.6751 0.1081
Rb 0.9754 0.9754 0.7442
Fe 0.3713 0.3713 0.3712
Fe 0.6287 0.6287 0.6288
O 0.2048 0.2048 0.1520
O 0.4828 0.4828 0.6700
O 0.5172 0.5172 0.3300
O 0.7952 0.7952 0.8480

Main lines, low angle first (2θ = 10–80°):
26.33°, d = 3.384 Å, I 31
28.48°, d = 3.134 Å, I 100
29.64°, d = 3.014 Å, I 83
29.88°, d = 2.991 Å, I 18
30.24°, d = 2.955 Å, I 47
30.57°, d = 2.925 Å, I 86
39.53°, d = 2.280 Å, I 30
43.54°, d = 2.078 Å, I 35
50.78°, d = 1.798 Å, I 28
53.06°, d = 1.726 Å, I 17